Simulated X-ray powder pattern of V2Cr2Ga for Cu Kα X-rays, from a cell relaxed with GGA-PBE.
No peak broadening, texture or thermal motion is included.

Peak list (10 most intense, 2θ from 5° to 70°, by angle)
d_spacing, I (rel.), (hkl)
2.968, 12, 0 0 1
2.292, 9, 0 6 0
2.247, 51, 0 4 1
2.170, 100, 1 1 1
2.105, 90, 1 5 0
1.982, 13, 1 3 1
1.814, 24, 0 6 1
1.717, 11, 1 5 1
1.635, 21, 2 0 0
1.484, 15, 0 0 2

Atomic structure:
```
data_V2Cr2Ga
_chemical_formula_sum 'V4 Cr4 Ga2'
_cell_length_a 3.2703
_cell_length_b 13.7518
_cell_length_c 2.9678
_cell_angle_alpha 90.00
_cell_angle_beta 90.00
_cell_angle_gamma 90.00
_space_group_name_H-M_alt 'C m m m'
_space_group_IT_number 65
_space_group_name_Hall '-C 2 2'
loop_
_atom_site_label
_atom_site_type_symbol
_atom_site_fract_x
_atom_site_fract_y
_atom_site_fract_z
V1 V 0.0000 0.1153 0.0000
Cr1 Cr 0.0000 0.3093 0.5000
Ga1 Ga 0.0000 0.5000 0.5000
```

---

Simulated X-ray powder pattern of Nd4Ho3Er3 for Cu Kα X-rays, from a cell relaxed with GGA-PBE.
No peak broadening, texture or thermal motion is included.

Peak list (10 most intense, 2θ from 5° to 70°, by angle)
d_spacing, I (rel.), (hkl)
3.287, 10, 0 4 0
2.938, 88, 0 2 4
2.806, 100, 1 3 1
2.323, 12, 0 4 4
1.938, 14, 1 5 3
1.904, 12, 2 0 0
1.897, 8, 1 0 6
1.642, 19, 0 0 8
1.597, 20, 2 2 4
1.570, 19, 1 7 3

Atomic structure:
```
data_Nd4Ho3Er3
_chemical_formula_sum 'Nd8 Ho6 Er6'
_cell_length_a 3.8074
_cell_length_b 13.1301
_cell_length_c 13.1216
_cell_angle_alpha 90.00
_cell_angle_beta 90.00
_cell_angle_gamma 90.00
_space_group_name_H-M_alt 'A m m 2'
_space_group_IT_number 38
loop_
_space_group_symop_operation_xyz
'x,y,z'
'-x,-y,z'
'-x,y,z'
'x,-y,z'
'x,y+1/2,z+1/2'
'-x,-y+1/2,z+1/2'
'-x,y+1/2,z+1/2'
'x,-y+1/2,z+1/2'
loop_
_atom_site_label
_atom_site_type_symbol
_atom_site_fract_x
_atom_site_fract_y
_atom_site_fract_z
Nd1 Nd 0.0000 0.0000 0.0000
Nd2 Nd 0.0000 0.0000 0.2627
Nd3 Nd 0.0000 0.1316 0.6312
Ho1 Ho 0.0000 0.2496 0.3814
Ho2 Ho 0.5000 0.0000 0.7994
Er1 Er 0.5000 0.0000 0.4632
Er2 Er 0.5000 0.1681 0.1314
```

---

Simulated X-ray powder pattern of PmZn11Pt for Cu Kα X-rays, from a cell relaxed with GGA-PBE.
No peak broadening, texture or thermal motion is included.

Peak list (10 most intense, 2θ from 5° to 70°, by angle)
d_spacing, I (rel.), (hkl)
6.337, 16, 0 2 0
4.538, 13, 1 1 0
3.161, 19, 1 1 -2
2.584, 29, 1 3 -2
2.269, 38, 2 2 0
2.251, 100, 2 2 -2
2.239, 57, 0 4 2
2.020, 23, 2 4 -1
2.005, 22, 2 0 -3
1.999, 19, 0 2 3

Atomic structure:
```
data_PmZn11Pt
_chemical_formula_sum 'Pm2 Zn22 Pt2'
_cell_length_a 5.2394
_cell_length_b 12.6853
_cell_length_c 6.8141
_cell_angle_alpha 90.00
_cell_angle_beta 111.93
_cell_angle_gamma 90.00
_space_group_name_H-M_alt 'C 1 2/m 1'
_space_group_IT_number 12
loop_
_space_group_symop_operation_xyz
'x,y,z'
'-x,-y,-z'
'-x,y,-z'
'x,-y,z'
'x+1/2,y+1/2,z'
'-x+1/2,-y+1/2,-z'
'-x+1/2,y+1/2,-z'
'x+1/2,-y+1/2,z'
loop_
_atom_site_label
_atom_site_type_symbol
_atom_site_fract_x
_atom_site_fract_y
_atom_site_fract_z
Pm1 Pm 0.0000 0.0000 0.0000
Zn1 Zn 0.0000 0.5000 0.5000
Zn2 Zn 0.1057 0.3896 0.2173
Zn3 Zn 0.1645 0.1767 0.3548
Zn4 Zn 0.2500 0.2500 0.0000
Pt1 Pt 0.0000 0.0000 0.5000
```